The following is a simulated PXRD pattern of CuSeO3. It was derived from a structure optimized by DFT (PBE), using λ = 1.5418 Å (Cu Kα).
Intensities are scaled so that the largest is 1000.

Atomic structure:
```
data_CuSeO3
_cell_length_a 7.801
_cell_length_b 8.572
_cell_length_c 10.753
_cell_angle_alpha 90.00
_cell_angle_beta 127.43
_cell_angle_gamma 90.00
_space_group_name_H-M_alt 'P 1 21/c 1'
_space_group_IT_number 14
_space_group_name_Hall '-P 2ybc'
loop_
_atom_site_label
_atom_site_type_symbol
_atom_site_fract_x
_atom_site_fract_y
_atom_site_fract_z
Cu1 Cu 0.053 0.203 0.025
Cu2 Cu 0.292 0.100 0.883
Se1 Se 0.147 0.038 0.328
Se2 Se 0.407 0.636 0.212
O1 O 0.032 0.572 0.373
O2 O 0.038 0.057 0.661
O3 O 0.163 0.222 0.412
O4 O 0.254 0.699 0.662
O5 O 0.349 0.218 0.227
O6 O 0.461 0.579 0.392
```

Main lines, sorted by position (10 to 90 degrees two-theta):
| Position (°2θ) | I/Imax |
| --- | --- |
| 17.67 | 215 |
| 23.24 | 450 |
| 23.75 | 235 |
| 25.31 | 238 |
| 26.07 | 439 |
| 26.65 | 1000 |
| 31.85 | 553 |
| 33.51 | 523 |
| 37.92 | 337 |
| 39.23 | 354 |
| 47.57 | 243 |
| 54.85 | 266 |